Structure and computed PXRD pattern of PuPa2Fe9 (DFT lattice parameters and positions (GGA-PBE); CuKα).
Lines closer than 0.1° are merged.

Atomic structure:
```
data_PuPa2Fe9
_cell_length_a 4.8306
_cell_length_b 4.8306
_cell_length_c 25.3437
_cell_angle_alpha 90.00
_cell_angle_beta 90.00
_cell_angle_gamma 120.00
_symmetry_space_group_name_H-M 'R -3 m'
_symmetry_Int_Tables_number 166
_symmetry_space_group_name_Hall '-R 3 2"'
loop_
_atom_site_label
_atom_site_type_symbol
_atom_site_fract_x
_atom_site_fract_y
_atom_site_fract_z
Pu1 Pu 0.0000 0.0000 0.0000
Pa1 Pa 0.0000 0.0000 0.1409
Fe1 Fe 0.0000 0.0000 0.3332
Fe2 Fe 0.0000 0.0000 0.5000
Fe3 Fe 0.0007 0.5003 0.0814
```

Peak list (10 most intense, 10 to 90 degrees two-theta, by angle)
2θ (°)	I/Imax
21.5	41
32.7	79
35.5	53
37.2	68
43.1	100
43.4	41
64.3	24
66.0	18
71.2	22
79.3	21